No. 1
Structure and calculated powder X-ray diffraction pattern of Sr8CdN4 (a structure optimized by DFT (GGA-PBE); Cu Ka).
Neutral-atom scattering factors, no anomalous dispersion.

Crystal structure
Lattice parameters (Å, degrees): 19.237 3.863 13.582 90.00 134.82 90.00
Space group Cm (No. 8)
Inequivalent atoms, fractional coordinates:
Sr: 0.000 0.000 0.000 (multiplicity 2)
Sr: 0.009 0.000 0.270 (multiplicity 2)
Sr: 0.043 0.000 0.695 (multiplicity 2)
Sr: 0.149 0.500 0.606 (multiplicity 2)
Sr: 0.183 0.500 0.030 (multiplicity 2)
Sr: 0.192 0.500 0.301 (multiplicity 2)
Sr: 0.303 0.000 0.941 (multiplicity 2)
Sr: 0.389 0.000 0.360 (multiplicity 2)
Cd: 0.346 0.000 0.651 (multiplicity 2)
N: 0.002 0.500 0.137 (multiplicity 2)
N: 0.015 0.000 0.476 (multiplicity 2)
N: 0.177 0.500 0.825 (multiplicity 2)
N: 0.190 0.000 0.164 (multiplicity 2)

Most intense lines, 2θ from 5° to 70°, low angle first:
2theta	I/Imax	h k l
27.34	11	1 1 1
27.80	41	6 0 -3
29.33	18	2 0 -4
30.39	100	3 1 -3
33.49	10	4 0 1
33.65	9	6 0 -5
47.04	13	0 2 0
48.86	15	1 1 4
48.95	10	9 1 -5
55.54	13	6 2 -3

---

No. 2
Structure and calculated powder X-ray diffraction pattern of CeZr4Sc6 (a structure optimized by DFT (GGA-PBE); Cu Ka).
Neutral-atom scattering factors, no anomalous dispersion.

Crystal structure
Lattice parameters (Å, degrees): 5.254 8.706 23.300 90.00 91.45 90.00
Space group C2/c (No. 15)
Inequivalent atoms, fractional coordinates:
Ce: 0.000 0.202 0.250 (multiplicity 4)
Zr: 0.003 0.146 0.544 (multiplicity 8)
Zr: 0.026 0.455 0.880 (multiplicity 8)
Sc: 0.000 0.463 0.750 (multiplicity 4)
Sc: 0.000 0.500 0.000 (multiplicity 4)
Sc: 0.012 0.128 0.823 (multiplicity 8)
Sc: 0.017 0.200 0.401 (multiplicity 8)

Most intense lines, 2θ from 5° to 70°, low angle first:
2theta	I/Imax	h k l
23.07	25	1 1 3
33.14	40	1 1 -7
33.89	100	0 2 7
34.14	79	2 0 0
35.34	94	1 3 0
35.55	47	1 3 -1
36.40	25	1 1 -8
37.15	27	1 1 8
49.41	22	2 2 7
61.91	22	3 3 0

---

Please write out number 1 again, unchanged.
Structure and calculated powder X-ray diffraction pattern of Sr8CdN4 (a structure optimized by DFT (GGA-PBE); Cu Ka).
Neutral-atom scattering factors, no anomalous dispersion.

Crystal structure
Lattice parameters (Å, degrees): 19.237 3.863 13.582 90.00 134.82 90.00
Space group Cm (No. 8)
Inequivalent atoms, fractional coordinates:
Sr: 0.000 0.000 0.000 (multiplicity 2)
Sr: 0.009 0.000 0.270 (multiplicity 2)
Sr: 0.043 0.000 0.695 (multiplicity 2)
Sr: 0.149 0.500 0.606 (multiplicity 2)
Sr: 0.183 0.500 0.030 (multiplicity 2)
Sr: 0.192 0.500 0.301 (multiplicity 2)
Sr: 0.303 0.000 0.941 (multiplicity 2)
Sr: 0.389 0.000 0.360 (multiplicity 2)
Cd: 0.346 0.000 0.651 (multiplicity 2)
N: 0.002 0.500 0.137 (multiplicity 2)
N: 0.015 0.000 0.476 (multiplicity 2)
N: 0.177 0.500 0.825 (multiplicity 2)
N: 0.190 0.000 0.164 (multiplicity 2)

Most intense lines, 2θ from 5° to 70°, low angle first:
2theta	I/Imax	h k l
27.34	11	1 1 1
27.80	41	6 0 -3
29.33	18	2 0 -4
30.39	100	3 1 -3
33.49	10	4 0 1
33.65	9	6 0 -5
47.04	13	0 2 0
48.86	15	1 1 4
48.95	10	9 1 -5
55.54	13	6 2 -3